Record 1
The following is a theoretical powder X-ray diffraction pattern of Li4FeTeW2O12. It was derived from a PBE+U-relaxed structure, using Cu Ka.

Main lines, most intense first (2θ from 15° to 90°):
- d 3.774, 2θ = 23.58°, I 100, hkl 0 2 0
- d 2.749, 2θ = 32.57°, I 27, hkl 0 0 4
- d 2.602, 2θ = 34.47°, I 18, hkl 1 -2 2
- d 1.729, 2θ = 52.97°, I 13, hkl 2 2 4
- d 2.733, 2θ = 32.77°, I 13, hkl -1 2 2
- d 1.889, 2θ = 48.18°, I 12, hkl 0 4 0
- d 4.289, 2θ = 20.71°, I 10, hkl 1 1 0
- d 1.653, 2θ = 55.59°, I 9, hkl 1 -4 2
- d 2.593, 2θ = 34.59°, I 9, hkl 2 0 0
- d 1.530, 2θ = 60.50°, I 7, hkl 1 2 -6

Structure:
```
data_Li4FeTeW2O12
_space_group_name_H-M_alt 'P 1'
_space_group_IT_number 1
_cell_length_a 5.1862
_cell_length_b 7.5736
_cell_length_c 11.0284
_cell_angle_alpha 85.66
_cell_angle_beta 89.77
_cell_angle_gamma 89.71
loop_
_space_group_symop_operation_xyz
'x,y,z'
loop_
_atom_site_label
_atom_site_type_symbol
_atom_site_fract_x
_atom_site_fract_y
_atom_site_fract_z
Li1 Li 0.0000 0.0000 0.0000
Li2 Li 0.9996 0.0062 0.5043
Li3 Li 0.4854 0.4078 0.6830
Li4 Li 0.4956 0.4181 0.1872
Li5 Li 0.5025 0.9537 0.6897
Li6 Li 0.5047 0.9472 0.1846
Li7 Li 0.9893 0.4100 0.9560
Li8 Li 0.9937 0.4178 0.4492
Fe1 Fe 0.4963 0.2200 0.9731
Fe2 Fe 0.4978 0.2178 0.4742
Te1 Te 0.9745 0.7032 0.7277
Te2 Te 0.9935 0.7173 0.2315
W1 W 0.0021 0.2157 0.2322
W2 W 0.0043 0.2136 0.7302
W3 W 0.4776 0.7153 0.9782
W4 W 0.4904 0.7163 0.4777
O1 O 0.1233 0.9652 0.2329
O2 O 0.1406 0.9869 0.7271
O3 O 0.1687 0.6449 0.9196
O4 O 0.1751 0.6579 0.3865
O5 O 0.1926 0.2761 0.0851
O6 O 0.1933 0.2864 0.5812
O7 O 0.2868 0.2979 0.8269
O8 O 0.2979 0.2809 0.3235
O9 O 0.3157 0.6632 0.1527
O10 O 0.3204 0.6468 0.6271
O11 O 0.3797 0.9596 0.4834
O12 O 0.3839 0.9621 0.9957
O13 O 0.6205 0.4831 0.4766
O14 O 0.6215 0.4843 0.9957
O15 O 0.6377 0.7830 0.8264
O16 O 0.6920 0.7899 0.3250
O17 O 0.7011 0.1723 0.1409
O18 O 0.7022 0.1643 0.6358
O19 O 0.7952 0.7934 0.5736
O20 O 0.8013 0.7956 0.0867
O21 O 0.8181 0.1706 0.8847
O22 O 0.8241 0.1722 0.3851
O23 O 0.8421 0.4642 0.7279
O24 O 0.8703 0.4747 0.2371
```


Record 2
The following is a theoretical powder X-ray diffraction pattern of FeC2O6. It was derived from a PBE+U-relaxed structure, using Cu Ka.

Main lines, most intense first (2θ from 15° to 90°):
- d 4.762, 2θ = 18.64°, I 100, hkl 2 0 0
- d 4.715, 2θ = 18.82°, I 96, hkl 2 0 -2
- d 2.899, 2θ = 30.84°, I 39, hkl 4 0 -2
- d 4.109, 2θ = 21.63°, I 31, hkl 0 0 2
- d 3.632, 2θ = 24.51°, I 29, hkl 1 1 -2
- d 2.730, 2θ = 32.81°, I 27, hkl 1 1 2
- d 4.672, 2θ = 18.99°, I 27, hkl 1 1 0
- d 1.917, 2θ = 47.43°, I 21, hkl 0 2 3
- d 2.550, 2θ = 35.19°, I 16, hkl 0 2 1
- d 2.111, 2θ = 42.84°, I 15, hkl 1 1 -4

Structure:
```
data_FeC2O6
_space_group_name_H-M_alt 'C 1 2/c 1'
_space_group_IT_number 15
_cell_length_a 11.5985
_cell_length_b 5.3659
_cell_length_c 10.0080
_cell_angle_alpha 90.00
_cell_angle_beta 124.81
_cell_angle_gamma 90.00
loop_
_space_group_symop_operation_xyz
'x,y,z'
'-x,-y,-z'
'-x,y,-z+1/2'
'x,-y,z+1/2'
'x+1/2,y+1/2,z'
'-x+1/2,-y+1/2,-z'
'-x+1/2,y+1/2,-z+1/2'
'x+1/2,-y+1/2,z+1/2'
loop_
_atom_site_label
_atom_site_type_symbol
_atom_site_fract_x
_atom_site_fract_y
_atom_site_fract_z
Fe1 Fe 0.0000 0.0816 0.2500
C1 C 0.0473 0.4183 0.8449
O1 O 0.0777 0.3722 0.4146
O2 O 0.0865 0.2088 0.9147
O3 O 0.1523 0.0809 0.2485
```